MoBr6: computed powder X-ray diffraction pattern (Cu Kα, 1.54184 Å), based on a crystal structure in Alexandria, relaxed with GGA-PBE.

Atomic structure:
```
data_MoBr6
_chemical_formula_sum 'Mo1 Br6'
_cell_length_a 6.7748
_cell_length_b 6.7748
_cell_length_c 5.8985
_cell_angle_alpha 90.00
_cell_angle_beta 90.00
_cell_angle_gamma 120.00
_space_group_name_H-M_alt 'P -3 1 m'
_space_group_IT_number 162
_space_group_name_Hall '-P 3 2'
loop_
_atom_site_label
_atom_site_fract_x
_atom_site_fract_y
_atom_site_fract_z
Mo1 0.0000 0.0000 0.0000
Br1 0.0000 0.2992 0.7566
```

Most intense lines, 10° ≤ 2θ ≤ 90°, in order of rising 2θ:
index, Position (°2θ), I (rel.)
1 0 0, 15.09, 49
0 0 2, 30.31, 15
1 1 1, 30.43, 100
1 1 2, 40.56, 29
2 1 1, 43.57, 23
3 0 0, 46.43, 24
2 -1 3, 53.92, 20
4 -2 1, 56.50, 22


Mo2Br3: computed powder X-ray diffraction pattern (Cu Kα, 1.54184 Å), based on a crystal structure in Alexandria, relaxed with GGA-PBE.

Atomic structure:
```
data_Mo2Br3
_chemical_formula_sum 'Mo8 Br12'
_cell_length_a 7.296
_cell_length_b 25.106
_cell_length_c 3.512
_cell_angle_alpha 90.00
_cell_angle_beta 104.59
_cell_angle_gamma 90.00
_space_group_name_H-M_alt 'C 1 c 1'
_space_group_IT_number 9
loop_
_space_group_symop_operation_xyz
'x,y,z'
'x,-y,z+1/2'
'x+1/2,y+1/2,z'
'x+1/2,-y+1/2,z+1/2'
loop_
_atom_site_label
_atom_site_fract_x
_atom_site_fract_y
_atom_site_fract_z
Mo1 0.000 0.120 0.000
Mo2 0.014 0.188 0.421
Br1 0.215 0.375 0.850
Br2 0.232 0.075 0.611
Br3 0.355 0.226 0.516
```

Most intense lines, 10° ≤ 2θ ≤ 90°, in order of rising 2θ:
index, Position (°2θ), I (rel.)
1 1 0, 13.02, 100
0 4 0, 14.11, 76
1 3 0, 16.43, 85
2 2 0, 26.27, 47
1 7 0, 27.90, 65
0 6 1, 33.98, 39
2 6 -1, 38.40, 37
1 7 1, 40.90, 46


MoBr5N2: computed powder X-ray diffraction pattern (Cu Kα, 1.54184 Å), based on a crystal structure in Alexandria, relaxed with GGA-PBE.

Atomic structure:
```
data_MoBr5N2
_chemical_formula_sum 'Mo4 Br20 N8'
_cell_length_a 12.222
_cell_length_b 13.099
_cell_length_c 7.715
_cell_angle_alpha 90.00
_cell_angle_beta 90.00
_cell_angle_gamma 90.00
_space_group_name_H-M_alt 'F m m 2'
_space_group_IT_number 42
_space_group_name_Hall 'F 2 -2'
loop_
_atom_site_label
_atom_site_fract_x
_atom_site_fract_y
_atom_site_fract_z
Mo1 0.000 0.000 0.000
Br1 0.000 0.000 0.312
Br2 0.000 0.159 0.844
Br3 0.203 0.000 0.001
N1 0.250 0.250 0.137
```

Most intense lines, 10° ≤ 2θ ≤ 90°, in order of rising 2θ:
index, Position (°2θ), I (rel.)
0 2 0, 13.52, 71
2 0 0, 14.49, 32
1 1 1, 15.17, 100
1 3 1, 24.53, 53
2 0 2, 27.34, 36
4 0 0, 29.23, 36
3 3 1, 32.21, 39
0 6 0, 41.40, 57


Rb2MoBr6N: computed powder X-ray diffraction pattern (Cu Kα, 1.54184 Å), based on a crystal structure in Alexandria, relaxed with GGA-PBE.

Atomic structure:
```
data_Rb2MoBr6N
_chemical_formula_sum 'Rb4 Mo2 Br12 N2'
_cell_length_a 8.370
_cell_length_b 8.370
_cell_length_c 9.498
_cell_angle_alpha 90.00
_cell_angle_beta 90.00
_cell_angle_gamma 90.00
_space_group_name_H-M_alt 'I 4/m m m'
_space_group_IT_number 139
_space_group_name_Hall '-I 4 2'
loop_
_atom_site_label
_atom_site_fract_x
_atom_site_fract_y
_atom_site_fract_z
Rb1 0.000 0.500 0.250
Mo1 0.000 0.000 0.000
Br1 0.000 0.000 0.276
Br2 0.219 0.219 0.000
N1 0.000 0.000 0.500
```

Most intense lines, 10° ≤ 2θ ≤ 90°, in order of rising 2θ:
index, Position (°2θ), I (rel.)
1 0 1, 14.10, 28
2 0 2, 28.43, 100
2 2 0, 30.20, 100
0 0 4, 37.89, 23
4 0 0, 43.24, 27
2 2 4, 49.20, 38
4 2 2, 52.56, 24
4 4 0, 62.78, 22